1.
Computed powder diffractogram
Compound: InAg3Au8
Radiation: Cu Kα
Structure: a PBE-relaxed structure
Intensities are scaled so that the largest is 1000.

Largest 10 diffraction maxima, by angle, 2θ from 15° to 90°:
2θ/deg	d_spacing	I/Imax
36.9	2.439	1000
37.6	2.393	474
37.7	2.386	470
43.1	2.097	646
43.6	2.077	313
62.9	1.477	210
63.1	1.474	209
74.4	1.275	130
74.5	1.274	129
76.0	1.252	184

abc: 5.085 6.026 7.158
angles: 90.00 90.24 90.00
Fractional positions:
1 In 0.000 0.000 0.000
2 Ag 0.000 0.500 0.000
3 Ag 0.334 0.500 0.332
4 Ag 0.666 0.500 0.668
5 Au 0.167 0.254 0.666
6 Au 0.167 0.746 0.666
7 Au 0.333 0.000 0.335
8 Au 0.500 0.253 0.000
9 Au 0.500 0.747 0.000
10 Au 0.667 0.000 0.665
11 Au 0.833 0.254 0.334
12 Au 0.833 0.746 0.334

2.
Computed powder diffractogram
Compound: InAgAu4
Radiation: Cu Kα
Structure: a PBE-relaxed structure
Intensities are scaled so that the largest is 1000.

Largest 10 diffraction maxima, by angle, 2θ from 15° to 90°:
2θ/deg	d_spacing	I/Imax
36.6	2.458	1000
37.5	2.399	934
42.1	2.145	675
44.7	2.025	284
59.8	1.546	120
63.1	1.472	408
72.8	1.300	270
74.5	1.273	254
77.1	1.237	116
77.7	1.229	171

abc: 5.277 5.277 5.022
angles: 98.18 98.18 123.05
Fractional positions:
1 In 0.000 0.000 0.000
2 Ag 0.500 0.500 0.500
3 Au 0.166 0.834 0.500
4 Au 0.335 0.665 0.000
5 Au 0.665 0.335 0.000
6 Au 0.834 0.166 0.500

3.
Computed powder diffractogram
Compound: In2Ag12Au5
Radiation: Cu Kα
Structure: a PBE-relaxed structure
Intensities are scaled so that the largest is 1000.

Largest 10 diffraction maxima, by angle, 2θ from 15° to 90°:
2θ/deg	d_spacing	I/Imax
37.4	2.402	1000
42.5	2.127	175
43.7	2.073	162
44.3	2.043	152
62.6	1.485	108
63.1	1.473	103
74.4	1.275	128
76.1	1.251	123
77.0	1.238	114
79.9	1.201	106

abc: 11.580 11.580 11.580
angles: 159.37 138.68 46.62
Fractional positions:
1 In 0.231 0.000 0.231
2 In 0.769 0.000 0.769
3 Ag 0.050 0.799 0.251
4 Ag 0.102 0.102 0.000
5 Ag 0.147 0.400 0.747
6 Ag 0.348 0.600 0.747
7 Ag 0.399 0.899 0.500
8 Ag 0.452 0.201 0.251
9 Ag 0.548 0.799 0.749
10 Ag 0.601 0.101 0.500
11 Ag 0.652 0.400 0.253
12 Ag 0.853 0.600 0.253
13 Ag 0.898 0.898 0.000
14 Ag 0.950 0.201 0.749
15 Au 0.200 0.700 0.500
16 Au 0.300 0.300 0.000
17 Au 0.500 0.500 0.000
18 Au 0.700 0.700 0.000
19 Au 0.800 0.300 0.500

4.
Computed powder diffractogram
Compound: InAgAu14
Radiation: Cu Kα
Structure: a PBE-relaxed structure
Intensities are scaled so that the largest is 1000.

Largest 10 diffraction maxima, by angle, 2θ from 15° to 90°:
2θ/deg	d_spacing	I/Imax
36.2	2.484	365
36.3	2.475	185
37.5	2.398	497
39.8	2.266	1000
39.9	2.260	485
45.2	2.004	196
62.7	1.481	224
69.2	1.357	297
75.4	1.260	266
76.7	1.242	148

abc: 9.593 5.924 5.924
angles: 60.26 90.00 90.00
Fractional positions:
1 In 0.000 0.000 0.000
2 Ag 0.000 0.499 0.499
3 Au 0.000 0.499 0.998
4 Au 0.000 0.998 0.499
5 Au 0.250 0.333 0.831
6 Au 0.250 0.831 0.333
7 Au 0.250 0.832 0.832
8 Au 0.251 0.332 0.332
9 Au 0.500 0.164 0.164
10 Au 0.500 0.165 0.665
11 Au 0.500 0.665 0.165
12 Au 0.500 0.665 0.665
13 Au 0.749 0.332 0.332
14 Au 0.750 0.333 0.831
15 Au 0.750 0.831 0.333
16 Au 0.750 0.832 0.832

5.
Computed powder diffractogram
Compound: In3Ag2Au8
Radiation: Cu Kα
Structure: a PBE-relaxed structure
Intensities are scaled so that the largest is 1000.

Largest 10 diffraction maxima, by angle, 2θ from 15° to 90°:
2θ/deg	d_spacing	I/Imax
17.1	5.200	296
27.4	3.261	249
33.6	2.669	227
36.8	2.439	921
38.1	2.364	1000
39.4	2.287	514
40.4	2.233	285
41.8	2.160	370
60.8	1.525	387
67.9	1.381	336

abc: 10.877 10.877 10.877
angles: 29.42 29.42 29.42
Fractional positions:
1 In 0.000 0.000 0.000
2 In 0.187 0.187 0.187
3 In 0.813 0.813 0.813
4 Ag 0.363 0.363 0.363
5 Ag 0.637 0.637 0.637
6 Au 0.227 0.726 0.726
7 Au 0.274 0.274 0.773
8 Au 0.274 0.773 0.274
9 Au 0.277 0.277 0.277
10 Au 0.723 0.723 0.723
11 Au 0.726 0.227 0.726
12 Au 0.726 0.726 0.227
13 Au 0.773 0.274 0.274

6.
Computed powder diffractogram
Compound: KIn2AgAu4
Radiation: Cu Kα
Structure: a PBE-relaxed structure
Intensities are scaled so that the largest is 1000.

Largest 10 diffraction maxima, by angle, 2θ from 15° to 90°:
2θ/deg	d_spacing	I/Imax
24.8	3.587	159
30.2	2.962	234
32.3	2.768	489
38.2	2.354	1000
39.3	2.292	201
39.6	2.275	690
50.9	1.793	134
56.2	1.636	249
69.1	1.359	174
70.0	1.344	260

abc: 10.414 10.414 10.414
angles: 26.13 26.13 26.13
Fractional positions:
1 K 0.000 0.000 0.000
2 In 0.238 0.238 0.238
3 In 0.762 0.762 0.762
4 Ag 0.500 0.500 0.500
5 Au 0.138 0.138 0.138
6 Au 0.406 0.406 0.406
7 Au 0.594 0.594 0.594
8 Au 0.862 0.862 0.862

7.
Computed powder diffractogram
Compound: La4InAg2Au
Radiation: Cu Kα
Structure: a PBE-relaxed structure
Intensities are scaled so that the largest is 1000.

Largest 10 diffraction maxima, by angle, 2θ from 15° to 90°:
2θ/deg	d_spacing	I/Imax
32.9	2.719	1000
45.3	2.002	34
47.3	1.923	174
58.8	1.571	276
58.9	1.567	70
69.0	1.361	60
69.2	1.358	43
78.6	1.217	77
78.7	1.215	60
87.9	1.111	30

abc: 9.404 9.404 9.404
angles: 33.65 33.65 33.65
Fractional positions:
1 La 0.119 0.119 0.119
2 La 0.370 0.370 0.370
3 La 0.630 0.630 0.630
4 La 0.881 0.881 0.881
5 In 0.500 0.500 0.500
6 Ag 0.242 0.242 0.242
7 Ag 0.758 0.758 0.758
8 Au 0.000 0.000 0.000

8.
Computed powder diffractogram
Compound: Li2In2AgAu5
Radiation: Cu Kα
Structure: a PBE-relaxed structure
Intensities are scaled so that the largest is 1000.

Largest 10 diffraction maxima, by angle, 2θ from 15° to 90°:
2θ/deg	d_spacing	I/Imax
22.1	4.026	362
30.6	2.921	471
34.1	2.632	216
37.4	2.406	1000
39.1	2.302	423
41.0	2.203	326
42.6	2.122	239
45.0	2.013	266
61.2	1.515	229
74.5	1.273	227

abc: 9.490 9.490 4.026
angles: 90.00 90.00 90.00
Fractional positions:
1 Li 0.124 0.376 0.000
2 Li 0.376 0.876 0.000
3 Li 0.624 0.124 0.000
4 Li 0.876 0.624 0.000
5 In 0.171 0.671 0.000
6 In 0.329 0.171 0.000
7 In 0.671 0.829 0.000
8 In 0.829 0.329 0.000
9 Ag 0.000 0.000 0.000
10 Ag 0.500 0.500 0.000
11 Au 0.000 0.500 0.500
12 Au 0.086 0.199 0.500
13 Au 0.199 0.914 0.500
14 Au 0.301 0.414 0.500
15 Au 0.414 0.699 0.500
16 Au 0.500 0.000 0.500
17 Au 0.586 0.301 0.500
18 Au 0.699 0.586 0.500
19 Au 0.801 0.086 0.500
20 Au 0.914 0.801 0.500